# 1
Simulated X-ray powder pattern of K2AlAgCl6 for λ = 1.5418 Å (Cu Kα), from DFT lattice parameters and positions (PBE).
Neutral-atom scattering factors, no anomalous dispersion.

Structural model:
Unit cell a=7.174 b=7.174 c=7.174 alpha=60.00 beta=60.00 gamma=60.00
Sites, in units of the cell vectors:
K 0.250 0.250 0.250
K 0.750 0.750 0.750
Al 0.000 0.000 0.000
Ag 0.500 0.500 0.500
Cl 0.231 0.231 0.769
Cl 0.231 0.769 0.231
Cl 0.231 0.769 0.769
Cl 0.769 0.231 0.231
Cl 0.769 0.231 0.769
Cl 0.769 0.769 0.231

Principal peaks in the range 5 to 70 degrees two-theta, in order of rising 2θ:
- d 5.073, intensity 59
- d 3.587, intensity 66
- d 3.059, intensity 32
- d 2.929, intensity 26
- d 2.536, intensity 100
- d 2.327, intensity 27
- d 2.269, intensity 24
- d 2.071, intensity 26
- d 1.793, intensity 61
- d 1.464, intensity 19

=====

# 2
Simulated X-ray powder pattern of ZnB3O9 for λ = 1.5418 Å (Cu Kα), from DFT lattice parameters and positions (PBE).
Neutral-atom scattering factors, no anomalous dispersion.

Structural model:
Unit cell a=8.889 b=7.566 c=8.753 alpha=90.00 beta=90.00 gamma=90.00
Sites, in units of the cell vectors:
Zn 0.035 0.250 0.209
Zn 0.465 0.750 0.709
Zn 0.535 0.250 0.291
Zn 0.965 0.750 0.791
B 0.185 0.250 0.649
B 0.249 0.080 0.417
B 0.249 0.420 0.417
B 0.251 0.580 0.917
B 0.251 0.920 0.917
B 0.315 0.750 0.149
B 0.685 0.250 0.851
B 0.749 0.080 0.083
B 0.749 0.420 0.083
B 0.751 0.580 0.583
B 0.751 0.920 0.583
B 0.815 0.750 0.351
O 0.117 0.048 0.329
O 0.117 0.452 0.329
O 0.125 0.048 0.897
O 0.125 0.452 0.897
O 0.158 0.250 0.810
O 0.171 0.750 0.873
O 0.199 0.090 0.578
O 0.199 0.410 0.578
O 0.213 0.250 0.076
O 0.287 0.750 0.576
O 0.301 0.590 0.078
O 0.301 0.910 0.078
O 0.329 0.250 0.373
O 0.342 0.750 0.310
O 0.375 0.548 0.397
O 0.375 0.952 0.397
O 0.383 0.548 0.829
O 0.383 0.952 0.829
O 0.617 0.048 0.171
O 0.617 0.452 0.171
O 0.625 0.048 0.603
O 0.625 0.452 0.603
O 0.658 0.250 0.690
O 0.671 0.750 0.627
O 0.699 0.090 0.922
O 0.699 0.410 0.922
O 0.713 0.250 0.424
O 0.787 0.750 0.924
O 0.801 0.590 0.422
O 0.801 0.910 0.422
O 0.829 0.250 0.127
O 0.842 0.750 0.190
O 0.875 0.548 0.103
O 0.875 0.952 0.103
O 0.883 0.548 0.671
O 0.883 0.952 0.671

Principal peaks in the range 5 to 70 degrees two-theta, in order of rising 2θ:
- d 6.237, intensity 21
- d 5.724, intensity 100
- d 3.832, intensity 61
- d 3.511, intensity 62
- d 3.119, intensity 40
- d 2.882, intensity 18
- d 2.862, intensity 24
- d 2.321, intensity 18
- d 2.236, intensity 23
- d 2.122, intensity 18

=====

# 3
Simulated X-ray powder pattern of SnH16C4N2Cl6 for λ = 1.5418 Å (Cu Kα), from DFT lattice parameters and positions (PBE).
Neutral-atom scattering factors, no anomalous dispersion.

Structural model:
Unit cell a=7.503 b=14.693 c=7.389 alpha=90.00 beta=90.00 gamma=90.00
Sites, in units of the cell vectors:
Sn 0.000 0.000 0.000
Sn 0.500 0.500 0.500
H 0.036 0.218 0.500
H 0.058 0.434 0.000
H 0.065 0.329 0.121
H 0.065 0.329 0.879
H 0.148 0.904 0.389
H 0.148 0.904 0.611
H 0.155 0.739 0.379
H 0.155 0.739 0.621
H 0.345 0.239 0.121
H 0.345 0.239 0.879
H 0.352 0.404 0.111
H 0.352 0.404 0.889
H 0.435 0.829 0.379
H 0.435 0.829 0.621
H 0.442 0.934 0.500
H 0.464 0.718 0.000
H 0.536 0.282 0.000
H 0.558 0.066 0.500
H 0.565 0.171 0.379
H 0.565 0.171 0.621
H 0.648 0.596 0.111
H 0.648 0.596 0.889
H 0.655 0.761 0.121
H 0.655 0.761 0.879
H 0.845 0.261 0.379
H 0.845 0.261 0.621
H 0.852 0.096 0.389
H 0.852 0.096 0.611
H 0.935 0.671 0.121
H 0.935 0.671 0.879
H 0.942 0.566 0.000
H 0.964 0.782 0.500
C 0.109 0.775 0.500
C 0.110 0.365 0.000
C 0.390 0.865 0.500
C 0.391 0.275 0.000
C 0.609 0.725 0.000
C 0.610 0.135 0.500
C 0.890 0.635 0.000
C 0.891 0.225 0.500
N 0.192 0.868 0.500
N 0.308 0.368 0.000
N 0.692 0.632 0.000
N 0.808 0.132 0.500
Cl 0.178 0.858 0.000
Cl 0.192 0.063 0.242
Cl 0.192 0.063 0.758
Cl 0.308 0.563 0.258
Cl 0.308 0.563 0.742
Cl 0.322 0.358 0.500
Cl 0.678 0.642 0.500
Cl 0.692 0.437 0.258
Cl 0.692 0.437 0.742
Cl 0.808 0.937 0.242
Cl 0.808 0.937 0.758
Cl 0.822 0.142 0.000

Principal peaks in the range 5 to 70 degrees two-theta, in order of rising 2θ:
- d 7.347, intensity 50
- d 6.682, intensity 100
- d 6.601, intensity 39
- d 5.264, intensity 35
- d 4.279, intensity 38
- d 3.299, intensity 18
- d 3.020, intensity 41
- d 2.762, intensity 15
- d 2.478, intensity 20
- d 1.907, intensity 17

=====

# 4
Simulated X-ray powder pattern of K2SnCl6 for λ = 1.5418 Å (Cu Kα), from DFT lattice parameters and positions (PBE).
Neutral-atom scattering factors, no anomalous dispersion.

Structural model:
Unit cell a=7.292 b=7.292 c=10.069 alpha=90.00 beta=90.00 gamma=90.00
Sites, in units of the cell vectors:
K 0.000 0.500 0.250
K 0.000 0.500 0.750
K 0.500 0.000 0.250
K 0.500 0.000 0.750
Sn 0.000 0.000 0.000
Sn 0.500 0.500 0.500
Cl 0.000 0.000 0.245
Cl 0.000 0.000 0.755
Cl 0.223 0.255 0.000
Cl 0.245 0.277 0.500
Cl 0.255 0.777 0.000
Cl 0.277 0.755 0.500
Cl 0.500 0.500 0.255
Cl 0.500 0.500 0.745
Cl 0.723 0.245 0.500
Cl 0.745 0.223 0.000
Cl 0.755 0.723 0.500
Cl 0.777 0.745 0.000

Principal peaks in the range 5 to 70 degrees two-theta, in order of rising 2θ:
- d 5.906, intensity 100
- d 5.156, intensity 26
- d 3.602, intensity 29
- d 3.103, intensity 30
- d 2.953, intensity 33
- d 2.578, intensity 60
- d 2.517, intensity 29
- d 1.823, intensity 19
- d 1.801, intensity 37
- d 1.477, intensity 18

=====

# 5
Simulated X-ray powder pattern of Ga3Cu3Te4Se2 for λ = 1.5418 Å (Cu Kα), from DFT lattice parameters and positions (PBE).
Neutral-atom scattering factors, no anomalous dispersion.

Structural model:
Unit cell a=11.103 b=11.103 c=7.253 alpha=90.51 beta=90.51 gamma=44.94
Sites, in units of the cell vectors:
Ga 0.109 0.891 0.500
Ga 0.206 0.474 0.355
Ga 0.474 0.206 0.855
Ga 0.544 0.789 0.667
Ga 0.789 0.544 0.167
Ga 0.891 0.109 0.000
Cu 0.046 0.278 0.672
Cu 0.278 0.046 0.172
Cu 0.369 0.639 0.023
Cu 0.639 0.369 0.523
Cu 0.731 0.946 0.329
Cu 0.946 0.731 0.829
Te 0.084 0.334 0.345
Te 0.239 0.519 0.006
Te 0.334 0.084 0.845
Te 0.410 0.666 0.679
Te 0.519 0.239 0.506
Te 0.577 0.848 0.327
Te 0.666 0.410 0.179
Te 0.848 0.577 0.827
Se 0.166 0.920 0.177
Se 0.763 0.994 0.010
Se 0.920 0.166 0.677
Se 0.994 0.763 0.510

Principal peaks in the range 5 to 70 degrees two-theta, in order of rising 2θ:
- d 3.444, intensity 100
- d 3.425, intensity 100
- d 2.122, intensity 24
- d 2.104, intensity 25
- d 2.098, intensity 93
- d 1.804, intensity 30
- d 1.795, intensity 29
- d 1.783, intensity 23
- d 1.494, intensity 15
- d 1.363, intensity 14

=====

# 6
Simulated X-ray powder pattern of Lu2InAu2 for λ = 1.5418 Å (Cu Kα), from DFT lattice parameters and positions (PBE).
Neutral-atom scattering factors, no anomalous dispersion.

Structural model:
Unit cell a=7.940 b=7.940 c=3.596 alpha=90.00 beta=90.00 gamma=90.00
Sites, in units of the cell vectors:
Lu 0.169 0.331 0.000
Lu 0.331 0.831 0.000
Lu 0.669 0.169 0.000
Lu 0.831 0.669 0.000
In 0.000 0.000 0.500
In 0.500 0.500 0.500
Au 0.129 0.629 0.500
Au 0.371 0.129 0.500
Au 0.629 0.871 0.500
Au 0.871 0.371 0.500

Principal peaks in the range 5 to 70 degrees two-theta, in order of rising 2θ:
- d 5.614, intensity 13
- d 2.665, intensity 15
- d 2.527, intensity 100
- d 2.511, intensity 40
- d 2.202, intensity 8
- d 1.878, intensity 8
- d 1.798, intensity 11
- d 1.698, intensity 9
- d 1.462, intensity 15
- d 1.364, intensity 16